(1)
Structure and simulated powder diffraction line list of Sc3TiPt3 (DFT lattice parameters and positions (GGA-PBE); copper Kα).

Peak list (6 most intense, 2θ from 10° to 90°, most intense first)
d/Å, 2θ (°), I (rel.)
2.264, 39.8, 100
6.521, 13.6, 33
3.261, 27.4, 30
2.347, 38.4, 23
1.308, 72.2, 16
1.338, 70.3, 15

Structural model:
a = 6.525 Å, b = 6.525 Å, c = 6.292 Å
α = 90.01°, β = 90.01°, γ = 88.01°
Positions (direct):
1 Sc 0.215 0.785 0.000
2 Sc 0.242 0.242 0.500
3 Sc 0.257 0.743 0.500
4 Sc 0.743 0.257 0.500
5 Sc 0.758 0.758 0.500
6 Sc 0.785 0.215 0.000
7 Ti 0.255 0.255 0.000
8 Ti 0.745 0.745 0.000
9 Pt 0.000 0.500 0.241
10 Pt 0.000 0.500 0.759
11 Pt 0.499 0.499 0.770
12 Pt 0.500 0.000 0.241
13 Pt 0.500 0.000 0.759
14 Pt 0.501 0.501 0.230


(2)
Structure and simulated powder diffraction line list of AlFeB2 (DFT lattice parameters and positions (GGA-PBE); copper Kα).

Peak list (6 most intense, 2θ from 10° to 90°, most intense first)
d/Å, 2θ (°), I (rel.)
2.306, 39.1, 100
3.618, 24.6, 55
3.347, 26.6, 39
1.713, 53.5, 38
1.554, 59.5, 27
1.720, 53.2, 19

Structural model:
a = 3.441 Å, b = 3.441 Å, c = 14.471 Å
α = 90.00°, β = 90.00°, γ = 90.00°
Positions (direct):
1 Al 0.000 0.250 0.375
2 Al 0.000 0.750 0.625
3 Al 0.500 0.250 0.125
4 Al 0.500 0.750 0.875
5 Fe 0.000 0.250 0.875
6 Fe 0.000 0.750 0.125
7 Fe 0.500 0.250 0.625
8 Fe 0.500 0.750 0.375
9 B 0.000 0.000 0.000
10 B 0.000 0.500 0.000
11 B 0.250 0.250 0.750
12 B 0.250 0.750 0.250
13 B 0.500 0.000 0.500
14 B 0.500 0.500 0.500
15 B 0.750 0.250 0.750
16 B 0.750 0.750 0.250


(3)
Structure and simulated powder diffraction line list of GaFe4Co12 (DFT lattice parameters and positions (GGA-PBE); copper Kα).

Peak list (6 most intense, 2θ from 10° to 90°, most intense first)
d/Å, 2θ (°), I (rel.)
2.014, 45.0, 100
1.974, 46.0, 54
1.993, 45.5, 32
1.970, 46.1, 26
2.407, 37.4, 20
2.034, 44.6, 15

Structural model:
a = 4.557 Å, b = 6.187 Å, c = 8.079 Å
α = 71.04°, β = 75.94°, γ = 71.24°
Positions (direct):
1 Ga 0.000 0.000 0.000
2 Fe 0.000 0.500 0.000
3 Fe 0.000 0.500 0.500
4 Fe 0.500 0.000 0.000
5 Fe 0.500 0.000 0.500
6 Co 0.099 0.272 0.297
7 Co 0.152 0.869 0.338
8 Co 0.262 0.263 0.744
9 Co 0.352 0.807 0.808
10 Co 0.365 0.606 0.128
11 Co 0.450 0.610 0.595
12 Co 0.550 0.390 0.405
13 Co 0.635 0.394 0.872
14 Co 0.648 0.193 0.192
15 Co 0.738 0.737 0.256
16 Co 0.848 0.131 0.662
17 Co 0.901 0.728 0.703